Record 1
Structure and calculated powder diffractogram of BiAsBr6 (a cell relaxed with GGA-PBE; Cu Kα, 1.54184 Å).
Lines closer than 0.1° are merged.

Largest 10 diffraction maxima, sorted by position, 10° ≤ 2θ ≤ 80°:
d 5.066, I 72; d 3.714, I 33; d 3.036, I 100; d 2.859, I 17; d 2.332, I 67; d 2.203, I 25; d 1.999, I 44; d 1.797, I 19; d 1.518, I 17; d 1.238, I 18

Atomic structure:
```
BiAsBr6
1.0
3.4631 1.9994 6.3075
-3.4631 1.9994 6.3075
0.0000 -3.9988 6.3075
Bi As Br
1 1 6
direct
0.0000 0.0000 0.0000
0.5000 0.5000 0.5000
0.0969 0.4275 0.7355
0.2645 0.9031 0.5725
0.4275 0.7355 0.0969
0.5725 0.2645 0.9031
0.7355 0.0969 0.4275
0.9031 0.5725 0.2645
```

---

Record 2
Structure and calculated powder diffractogram of Li3NdCd (a cell relaxed with GGA-PBE; Cu Kα, 1.54184 Å).
Lines closer than 0.1° are merged.

Largest 10 diffraction maxima, sorted by position, 10° ≤ 2θ ≤ 80°:
d 4.142, I 71; d 3.382, I 100; d 2.619, I 83; d 2.071, I 53; d 1.953, I 21; d 1.766, I 30; d 1.691, I 15; d 1.464, I 12; d 1.421, I 20; d 1.344, I 12

Atomic structure:
```
Li3NdCd
1.0
6.7642 0.0000 0.0000
-3.3821 5.8579 0.0000
0.0000 0.0000 5.8560
Li Nd Cd
6 2 2
direct
0.1950 0.3900 0.2500
0.1950 0.8050 0.2500
0.3900 0.1950 0.7500
0.6100 0.8050 0.2500
0.8050 0.1950 0.7500
0.8050 0.6100 0.7500
0.3333 0.6667 0.7500
0.6667 0.3333 0.2500
0.0000 0.0000 0.0000
0.0000 0.0000 0.5000
```

---

Record 3
Structure and calculated powder diffractogram of La14PrBi (a cell relaxed with GGA-PBE; Cu Kα, 1.54184 Å).
Lines closer than 0.1° are merged.

Largest 10 diffraction maxima, sorted by position, 10° ≤ 2θ ≤ 80°:
d 3.007, I 100; d 2.612, I 17; d 2.600, I 34; d 1.843, I 24; d 1.838, I 12; d 1.574, I 14; d 1.568, I 28; d 1.503, I 12; d 1.306, I 2; d 1.300, I 4

Atomic structure:
```
La14PrBi
1.0
7.3534 0.0000 0.0000
0.0000 7.3534 0.0000
0.0000 0.0000 10.4467
La Pr Bi
14 1 1
direct
0.0000 0.0000 0.0000
0.0000 0.5000 0.0000
0.0000 0.5000 0.5000
0.2431 0.2431 0.2552
0.2431 0.2431 0.7448
0.2431 0.7569 0.2552
0.2431 0.7569 0.7448
0.5000 0.0000 0.0000
0.5000 0.0000 0.5000
0.5000 0.5000 0.0000
0.7569 0.2431 0.2552
0.7569 0.2431 0.7448
0.7569 0.7569 0.2552
0.7569 0.7569 0.7448
0.5000 0.5000 0.5000
0.0000 0.0000 0.5000
```

---

Record 4
Structure and calculated powder diffractogram of CeEr4Ga15 (a cell relaxed with GGA-PBE; Cu Kα, 1.54184 Å).
Lines closer than 0.1° are merged.

Largest 10 diffraction maxima, sorted by position, 10° ≤ 2θ ≤ 80°:
d 4.254, I 11; d 3.019, I 9; d 2.462, I 100; d 2.143, I 17; d 2.127, I 33; d 1.510, I 21; d 1.504, I 11; d 1.290, I 12; d 1.283, I 25; d 1.231, I 11

Atomic structure:
```
CeEr4Ga15
1.0
4.2538 0.0000 0.0000
0.0000 4.2538 0.0000
0.0000 0.0000 21.4296
Ce Er Ga
1 4 15
direct
0.0000 0.0000 0.0000
0.0000 0.0000 0.2029
0.0000 0.0000 0.4008
0.0000 0.0000 0.5992
0.0000 0.0000 0.7971
0.0000 0.5000 0.1028
0.0000 0.5000 0.3015
0.0000 0.5000 0.5000
0.0000 0.5000 0.6985
0.0000 0.5000 0.8972
0.5000 0.0000 0.1028
0.5000 0.0000 0.3015
0.5000 0.0000 0.5000
0.5000 0.0000 0.6985
0.5000 0.0000 0.8972
0.5000 0.5000 0.0000
0.5000 0.5000 0.2009
0.5000 0.5000 0.4008
0.5000 0.5000 0.5992
0.5000 0.5000 0.7991
```